For K2TlReSe4, a GGA-PBE-relaxed structure gives the simulated XRD peak list in this record (Cu Kα (λ = 1.5418 Å)).
Neutral-atom scattering factors, no anomalous dispersion.

a b c (Å): 8.321 8.321 8.210
angles (deg): 90.00 90.00 90.00
Space group I-4 (No. 82)
Asymmetric unit:
K: 0.000 0.000 0.000 x2
K: 0.000 0.500 0.250 x2
Tl: 0.000 0.000 0.500 x2
Re: 0.000 0.500 0.750 x2
Se: 0.161 0.674 0.593 x8

Peak list (10 most intense, 10 to 80 degrees two-theta, sorted by position)
Position (°2θ)  Rel. int.  index
15.16  100  1 0 1
21.36  26  2 0 0
26.30  49  2 1 1
26.48  82  1 1 2
30.38  36  2 2 0
40.61  19  2 3 1
40.73  60  3 1 2
48.96  19  2 4 0
49.52  20  2 0 4
61.09  20  1 5 2

=====

For Tb2Zn5Ni5, a GGA-PBE-relaxed structure gives the simulated XRD peak list in this record (Cu Kα (λ = 1.5418 Å)).
Neutral-atom scattering factors, no anomalous dispersion.

a b c (Å): 3.989 5.150 8.908
angles (deg): 90.00 90.00 90.00
Space group Pmmm (No. 47)
Asymmetric unit:
Tb: 0.000 0.000 0.000 x1
Tb: 0.000 0.500 0.500 x1
Zn: 0.000 0.000 0.325 x2
Zn: 0.000 0.500 0.167 x2
Zn: 0.500 0.000 0.500 x1
Ni: 0.500 0.251 0.247 x4
Ni: 0.500 0.500 0.000 x1

Peak list (10 most intense, 10 to 80 degrees two-theta, sorted by position)
Position (°2θ)  Rel. int.  index
30.06  43  1 1 1
34.87  34  0 2 0
40.48  33  0 0 4
41.77  100  1 1 3
45.48  24  2 0 0
58.56  15  2 2 0
59.57  12  1 2 4
62.50  24  2 0 4
67.25  23  1 3 3
73.62  16  0 4 0

=====

For Sm6PtS5, a GGA-PBE-relaxed structure gives the simulated XRD peak list in this record (Cu Kα (λ = 1.5418 Å)).
Neutral-atom scattering factors, no anomalous dispersion.

a b c (Å): 7.016 12.127 6.999
angles (deg): 90.00 109.55 90.00
Space group C2/m (No. 12)
Asymmetric unit:
Sm: 0.248 0.000 0.252 x4
Sm: 0.249 0.168 0.750 x8
Pt: 0.000 0.500 0.000 x2
S: 0.000 0.000 0.500 x2
S: 0.000 0.166 0.000 x4
S: 0.000 0.332 0.500 x4

Peak list (10 most intense, 10 to 80 degrees two-theta, sorted by position)
Position (°2θ)  Rel. int.  index
26.96  11  2 0 0
27.01  26  0 0 2
31.28  100  1 3 1
44.82  73  2 0 2
53.08  10  3 3 1
53.15  7  1 3 3
55.65  19  4 0 0
65.29  8  2 6 2
74.06  11  4 6 0
74.19  22  3 3 3

=====

- Number 2 is which compound?
  Tb2Zn5Ni5